Theoretical powder XRD pattern of Ac2La6Dy5 for Cu Kα (weighted mean of Kα1 and Kα2), from the GGA-PBE geometry in Alexandria.
No peak broadening, texture or thermal motion is included.

Cell and atoms:
```
data_Ac2La6Dy5
_chemical_formula_sum 'Ac4 La12 Dy10'
_cell_length_a 12.276
_cell_length_b 20.822
_cell_length_c 3.726
_cell_angle_alpha 90.00
_cell_angle_beta 90.00
_cell_angle_gamma 90.00
_space_group_name_H-M_alt 'P b a m'
_space_group_IT_number 55
_space_group_name_Hall '-P 2 2ab'
loop_
_atom_site_label
_atom_site_type_symbol
_atom_site_fract_x
_atom_site_fract_y
_atom_site_fract_z
_atom_site_occupancy
Ac1 Ac 0.163 0.220 0.000 1
La1 La 0.046 0.924 0.000 1
La2 La 0.070 0.637 0.000 1
La3 La 0.187 0.382 0.500 1
Dy1 Dy 0.000 0.500 0.500 1
Dy2 Dy 0.097 0.780 0.500 1
Dy3 Dy 0.210 0.056 0.500 1
```

Principal peaks in the range 15° ≤ 2θ ≤ 90°, by angle:
- d 3.038, 29.40°, rel. 50, hkl 4 1 0
- d 2.942, 30.38°, rel. 46, hkl 4 2 0
- d 2.919, 30.63°, rel. 18, hkl 3 5 0
- d 2.893, 30.91°, rel. 100, hkl 1 7 0
- d 2.717, 32.97°, rel. 25, hkl 2 4 1
- d 2.647, 33.87°, rel. 14, hkl 3 6 0
- d 2.560, 35.05°, rel. 17, hkl 3 3 1
- d 1.863, 48.90°, rel. 15, hkl 0 0 2
- d 1.798, 50.78°, rel. 13, hkl 1 10 1
- d 1.566, 58.99°, rel. 14, hkl 1 7 2

Theoretical powder XRD pattern of Rb3NpZn2O6 for Cu Kα (weighted mean of Kα1 and Kα2), from the GGA-PBE geometry in Alexandria.
No peak broadening, texture or thermal motion is included.

Cell and atoms:
```
data_Rb3NpZn2O6
_chemical_formula_sum 'Rb3 Np1 Zn2 O6'
_cell_length_a 6.2180
_cell_length_b 6.2180
_cell_length_c 7.3664
_cell_angle_alpha 90.00
_cell_angle_beta 90.00
_cell_angle_gamma 120.00
_space_group_name_H-M_alt 'P -3 m 1'
_space_group_IT_number 164
_space_group_name_Hall '-P 3 2"'
loop_
_atom_site_label
_atom_site_type_symbol
_atom_site_fract_x
_atom_site_fract_y
_atom_site_fract_z
_atom_site_occupancy
Rb1 Rb 0.0000 0.0000 0.0000 1
Rb2 Rb 0.3333 0.6667 0.7356 1
Np1 Np 0.0000 0.0000 0.5000 1
Zn1 Zn 0.3333 0.6667 0.3103 1
O1 O 0.1583 0.3166 0.3198 1
```

Principal peaks in the range 15° ≤ 2θ ≤ 90°, by angle:
- d 5.385, 16.46°, rel. 33, hkl 1 0 0
- d 3.109, 28.71°, rel. 96, hkl 1 1 0
- d 3.040, 29.38°, rel. 100, hkl 1 0 2
- d 2.864, 31.23°, rel. 17, hkl 1 1 1
- d 2.174, 41.55°, rel. 46, hkl 2 0 2
- d 1.795, 50.87°, rel. 20, hkl 3 0 0
- d 1.781, 51.29°, rel. 45, hkl 2 1 2
- d 1.584, 58.23°, rel. 18, hkl 1 1 4
- d 1.555, 59.46°, rel. 17, hkl 2 2 0
- d 1.384, 67.70°, rel. 19, hkl 1 3 2

Theoretical powder XRD pattern of Cd3Mo5 for Cu Kα (weighted mean of Kα1 and Kα2), from the GGA-PBE geometry in Alexandria.
No peak broadening, texture or thermal motion is included.

Cell and atoms:
```
data_Cd3Mo5
_chemical_formula_sum 'Cd12 Mo20'
_cell_length_a 5.126
_cell_length_b 15.121
_cell_length_c 7.950
_cell_angle_alpha 90.00
_cell_angle_beta 107.80
_cell_angle_gamma 90.00
_space_group_name_H-M_alt 'C 1 2/m 1'
_space_group_IT_number 12
_space_group_name_Hall '-C 2y'
loop_
_atom_site_label
_atom_site_type_symbol
_atom_site_fract_x
_atom_site_fract_y
_atom_site_fract_z
_atom_site_occupancy
Cd1 Cd 0.000 0.184 0.000 1
Cd2 Cd 0.000 0.271 0.500 1
Cd3 Cd 0.147 0.500 0.370 1
Mo1 Mo 0.082 0.349 0.167 1
Mo2 Mo 0.110 0.084 0.303 1
Mo3 Mo 0.249 0.500 0.998 1
```

Principal peaks in the range 15° ≤ 2θ ≤ 90°, by angle:
- d 3.383, 26.34°, rel. 36, hkl 0 2 2
- d 2.675, 33.50°, rel. 58, hkl 0 4 2
- d 2.563, 35.02°, rel. 34, hkl 2 0 -1
- d 2.392, 37.60°, rel. 90, hkl 0 2 3
- d 2.330, 38.65°, rel. 34, hkl 1 3 2
- d 2.323, 38.77°, rel. 100, hkl 1 5 1
- d 2.303, 39.11°, rel. 89, hkl 1 3 -3
- d 2.300, 39.17°, rel. 81, hkl 2 2 -2
- d 1.973, 45.99°, rel. 43, hkl 1 7 -1
- d 1.297, 72.91°, rel. 38, hkl 0 6 5